Entry 1:
Structure and calculated PXRD pattern of Nb9VO25 (a cell relaxed with PBE+U; Cu Kα, 1.54184 Å).
Intensities are scaled so that the largest is 100.

Structural model:
abc: 11.503 11.503 11.503
angles: 91.63 91.63 160.58
Atoms (fractional coordinates):
Nb: 0.000 0.000 0.000
Nb: 0.101 0.659 0.791
Nb: 0.113 0.226 0.325
Nb: 0.212 0.887 0.113
Nb: 0.341 0.132 0.442
Nb: 0.690 0.899 0.558
Nb: 0.774 0.099 0.887
Nb: 0.868 0.310 0.209
Nb: 0.901 0.788 0.675
V: 0.250 0.750 0.500
O: 0.004 0.712 0.732
O: 0.049 0.115 0.167
O: 0.082 0.564 0.628
O: 0.118 0.951 0.066
O: 0.164 0.358 0.511
O: 0.171 0.780 0.959
O: 0.220 0.180 0.392
O: 0.244 0.608 0.861
O: 0.288 0.020 0.292
O: 0.347 0.836 0.194
O: 0.392 0.253 0.636
O: 0.436 0.064 0.518
O: 0.500 0.500 0.000
O: 0.546 0.918 0.482
O: 0.617 0.756 0.364
O: 0.642 0.153 0.806
O: 0.728 0.996 0.708
O: 0.747 0.383 0.139
O: 0.788 0.829 0.608
O: 0.820 0.212 0.041
O: 0.847 0.653 0.489
O: 0.885 0.052 0.934
O: 0.936 0.454 0.372
O: 0.948 0.882 0.833
O: 0.980 0.272 0.268

Largest 8 diffraction maxima, by angle, 15 to 90 degrees two-theta:
- 5.070 Å, 17.5 deg, I = 28
- 3.772 Å, 23.6 deg, I = 49
- 3.585 Å, 24.8 deg, I = 100
- 3.413 Å, 26.1 deg, I = 21
- 2.924 Å, 30.6 deg, I = 40
- 2.747 Å, 32.6 deg, I = 23
- 2.105 Å, 43.0 deg, I = 23
- 1.770 Å, 51.6 deg, I = 23

***

Entry 2:
Structure and calculated PXRD pattern of CaNiGe2O6 (a cell relaxed with PBE+U; Cu Kα, 1.54184 Å).
Intensities are scaled so that the largest is 100.

Structural model:
abc: 10.249 9.175 5.314
angles: 90.00 104.05 90.00
Atoms (fractional coordinates):
Ca: 0.224 0.046 0.029
Ca: 0.224 0.454 0.529
Ca: 0.776 0.546 0.471
Ca: 0.776 0.954 0.971
Ni: 0.266 0.665 0.035
Ni: 0.266 0.835 0.535
Ni: 0.734 0.165 0.465
Ni: 0.734 0.335 0.965
Ge: 0.012 0.149 0.408
Ge: 0.012 0.351 0.908
Ge: 0.456 0.153 0.669
Ge: 0.456 0.347 0.169
Ge: 0.544 0.653 0.831
Ge: 0.544 0.847 0.331
Ge: 0.988 0.649 0.092
Ge: 0.988 0.851 0.592
O: 0.082 0.524 0.849
O: 0.082 0.976 0.349
O: 0.103 0.248 0.689
O: 0.103 0.252 0.189
O: 0.152 0.673 0.294
O: 0.152 0.827 0.794
O: 0.360 0.011 0.736
O: 0.360 0.489 0.236
O: 0.368 0.654 0.747
O: 0.368 0.846 0.247
O: 0.399 0.191 0.324
O: 0.399 0.309 0.824
O: 0.601 0.691 0.176
O: 0.601 0.809 0.676
O: 0.632 0.154 0.753
O: 0.632 0.346 0.253
O: 0.640 0.511 0.764
O: 0.640 0.989 0.264
O: 0.848 0.173 0.206
O: 0.848 0.327 0.706
O: 0.897 0.748 0.811
O: 0.897 0.752 0.311
O: 0.918 0.024 0.651
O: 0.918 0.476 0.151

Largest 8 diffraction maxima, by angle, 15 to 90 degrees two-theta:
- 4.494 Å, 19.8 deg, I = 37
- 3.117 Å, 28.6 deg, I = 53
- 3.090 Å, 28.9 deg, I = 100
- 3.030 Å, 29.5 deg, I = 36
- 2.630 Å, 34.1 deg, I = 78
- 2.601 Å, 34.5 deg, I = 69
- 2.555 Å, 35.1 deg, I = 26
- 1.704 Å, 53.8 deg, I = 32

***

Entry 3:
Structure and calculated PXRD pattern of Sr2CoO4 (a cell relaxed with PBE+U; Cu Kα, 1.54184 Å).
Intensities are scaled so that the largest is 100.

Structural model:
abc: 6.830 6.830 6.830
angles: 147.84 146.65 47.01
Atoms (fractional coordinates):
Sr: 0.143 0.143 0.000
Sr: 0.857 0.857 0.000
Co: 0.500 0.500 0.000
O: 0.000 0.500 0.500
O: 0.343 0.343 0.000
O: 0.500 0.000 0.500
O: 0.657 0.657 0.000

Largest 8 diffraction maxima, by angle, 15 to 90 degrees two-theta:
- 2.858 Å, 31.3 deg, I = 70
- 2.804 Å, 31.9 deg, I = 67
- 2.723 Å, 32.9 deg, I = 100
- 2.088 Å, 43.3 deg, I = 31
- 2.055 Å, 44.1 deg, I = 35
- 1.960 Å, 46.3 deg, I = 30
- 1.892 Å, 48.1 deg, I = 26
- 1.606 Å, 57.4 deg, I = 26